Record 1
Calculated powder diffraction line list
Compound: TbGaPd2
Radiation: CuKα
Structure: a cell relaxed with GGA-PBE
No peak broadening, texture or thermal motion is included.

Structure:
abc: 7.430 7.162 5.652
angles: 90.00 90.00 90.00
Space group Pnma (No. 62)
Inequivalent atoms, fractional coordinates:
Tb 0.033 0.250 0.150 (multiplicity 4)
Ga 0.120 0.750 0.350 (multiplicity 4)
Pd 0.178 0.052 0.588 (multiplicity 8)

Main lines, sorted by position (2θ from 10° to 80°):
31.4°, I 535, (2 1 1)
31.9°, I 420, (1 2 1)
33.9°, I 291, (1 0 2)
34.8°, I 727, (2 2 0)
36.2°, I 1000, (1 1 2)
38.4°, I 555, (2 2 1)
39.7°, I 614, (3 0 1)
42.5°, I 304, (1 2 2)
42.9°, I 426, (1 3 1)
63.3°, I 290, (3 3 2)

Record 2
Calculated powder diffraction line list
Compound: Tb4Ga12Pd
Radiation: CuKα
Structure: a cell relaxed with GGA-PBE
No peak broadening, texture or thermal motion is included.

Structure:
abc: 8.664 8.664 8.664
angles: 90.00 90.00 90.00
Space group Im-3m (No. 229)
Inequivalent atoms, fractional coordinates:
Tb 0.250 0.250 0.250 (multiplicity 8)
Ga 0.000 0.000 0.296 (multiplicity 12)
Ga 0.000 0.250 0.500 (multiplicity 12)
Pd 0.000 0.000 0.000 (multiplicity 2)

Main lines, sorted by position (2θ from 10° to 80°):
29.2°, I 354, (2 2 0)
35.9°, I 1000, (2 2 2)
38.9°, I 111, (3 2 1)
41.7°, I 653, (4 0 0)
49.3°, I 86, (3 3 2)
51.7°, I 100, (4 2 2)
60.4°, I 381, (4 4 0)
68.5°, I 105, (6 2 0)
72.3°, I 298, (6 2 2)
76.1°, I 113, (4 4 4)

Record 3
Calculated powder diffraction line list
Compound: TbGa2Pd
Radiation: CuKα
Structure: a cell relaxed with GGA-PBE
No peak broadening, texture or thermal motion is included.

Structure:
abc: 4.462 10.185 6.616
angles: 90.00 90.00 90.00
Space group Cmcm (No. 63)
Inequivalent atoms, fractional coordinates:
Tb 0.000 0.090 0.250 (multiplicity 4)
Ga 0.000 0.373 0.053 (multiplicity 8)
Pd 0.000 0.200 0.750 (multiplicity 4)

Main lines, sorted by position (2θ from 10° to 80°):
27.0°, I 182, (0 0 2)
34.9°, I 1000, (1 1 2)
35.2°, I 182, (0 4 0)
35.9°, I 961, (1 3 1)
37.9°, I 337, (0 4 1)
40.4°, I 462, (2 0 0)
43.2°, I 325, (1 3 2)
56.6°, I 208, (2 4 1)
70.0°, I 200, (0 6 3)
70.6°, I 232, (3 3 1)

Record 4
Calculated powder diffraction line list
Compound: Tb6Ga19Pd3
Radiation: CuKα
Structure: a cell relaxed with GGA-PBE
No peak broadening, texture or thermal motion is included.

Structure:
abc: 15.819 4.264 15.896
angles: 90.00 103.23 90.00
Space group Cm (No. 8)
Inequivalent atoms, fractional coordinates:
Tb 0.000 0.000 0.000 (multiplicity 2)
Tb 0.002 0.500 0.503 (multiplicity 2)
Tb 0.150 0.500 0.345 (multiplicity 2)
Tb 0.159 0.000 0.846 (multiplicity 2)
Tb 0.343 0.000 0.656 (multiplicity 2)
Tb 0.349 0.500 0.155 (multiplicity 2)
Ga 0.010 0.000 0.353 (multiplicity 2)
Ga 0.017 0.500 0.860 (multiplicity 2)
Ga 0.069 0.500 0.710 (multiplicity 2)
Ga 0.073 0.000 0.208 (multiplicity 2)
Ga 0.141 0.000 0.482 (multiplicity 2)
Ga 0.146 0.500 0.989 (multiplicity 2)
Ga 0.149 0.000 0.650 (multiplicity 2)
Ga 0.209 0.500 0.568 (multiplicity 2)
Ga 0.210 0.000 0.074 (multiplicity 2)
Ga 0.250 0.000 0.250 (multiplicity 2)
Ga 0.257 0.500 0.757 (multiplicity 2)
Ga 0.291 0.000 0.426 (multiplicity 2)
Ga 0.295 0.500 0.932 (multiplicity 2)
Ga 0.355 0.500 0.511 (multiplicity 2)
Ga 0.358 0.000 0.018 (multiplicity 2)
Ga 0.427 0.000 0.292 (multiplicity 2)
Ga 0.432 0.500 0.796 (multiplicity 2)
Ga 0.482 0.500 0.643 (multiplicity 2)
Ga 0.489 0.000 0.145 (multiplicity 2)
Pd 0.155 0.500 0.154 (multiplicity 2)
Pd 0.346 0.500 0.347 (multiplicity 2)
Pd 0.354 0.000 0.854 (multiplicity 2)

Main lines, sorted by position (2θ from 10° to 80°):
30.1°, I 238, (3 1 -3)
34.5°, I 494, (3 1 3)
34.8°, I 254, (0 0 6)
35.0°, I 241, (6 0 0)
35.2°, I 1000, (1 1 -5)
35.3°, I 975, (5 1 -1)
36.9°, I 287, (5 1 -3)
42.4°, I 663, (0 2 0)
43.7°, I 362, (6 0 -6)
62.5°, I 270, (6 2 -6)

Record 5
Calculated powder diffraction line list
Compound: TiGaPd
Radiation: CuKα
Structure: a cell relaxed with GGA-PBE
No peak broadening, texture or thermal motion is included.

Structure:
abc: 4.4512 4.4512 5.4049
angles: 90.00 90.00 120.00
Space group P6_3/mmc (No. 194)
Inequivalent atoms, fractional coordinates:
Ti 0.0000 0.0000 0.0000 (multiplicity 2)
Ga 0.3333 0.6667 0.2500 (multiplicity 2)
Pd 0.3333 0.6667 0.7500 (multiplicity 2)

Main lines, sorted by position (2θ from 10° to 80°):
23.1°, I 152, (1 0 0)
28.4°, I 93, (1 0 1)
33.1°, I 201, (0 0 2)
40.5°, I 1000, (1 1 0)
40.8°, I 713, (1 0 2)
53.3°, I 316, (1 1 2)
58.8°, I 229, (2 0 2)
69.6°, I 63, (0 0 4)
73.7°, I 159, (3 0 0)
73.9°, I 225, (2 1 2)

Record 6
Calculated powder diffraction line list
Compound: TmGa2Pd
Radiation: CuKα
Structure: a cell relaxed with GGA-PBE
No peak broadening, texture or thermal motion is included.

Structure:
abc: 4.397 10.077 6.626
angles: 90.00 90.00 90.00
Space group Cmcm (No. 63)
Inequivalent atoms, fractional coordinates:
Tm 0.000 0.087 0.250 (multiplicity 4)
Ga 0.000 0.372 0.052 (multiplicity 8)
Pd 0.000 0.201 0.750 (multiplicity 4)

Main lines, sorted by position (2θ from 10° to 80°):
26.9°, I 192, (0 0 2)
35.1°, I 1000, (1 1 2)
35.6°, I 157, (0 4 0)
36.3°, I 957, (1 3 1)
38.2°, I 352, (0 4 1)
41.1°, I 436, (2 0 0)
43.5°, I 281, (1 3 2)
44.8°, I 165, (0 2 3)
55.5°, I 186, (0 0 4)
57.3°, I 215, (2 4 1)

Record 7
Calculated powder diffraction line list
Compound: TmGaPd
Radiation: CuKα
Structure: a cell relaxed with GGA-PBE
No peak broadening, texture or thermal motion is included.

Structure:
abc: 6.822 4.440 7.647
angles: 90.00 90.00 90.00
Space group Pnma (No. 62)
Inequivalent atoms, fractional coordinates:
Tm 0.016 0.250 0.197 (multiplicity 4)
Ga 0.174 0.250 0.573 (multiplicity 4)
Pd 0.224 0.750 0.401 (multiplicity 4)

Main lines, sorted by position (2θ from 10° to 80°):
23.2°, I 103, (0 1 1)
33.6°, I 332, (1 1 2)
35.2°, I 1000, (2 1 1)
37.7°, I 114, (1 0 3)
40.6°, I 283, (0 2 0)
40.8°, I 327, (0 1 3)
41.4°, I 109, (3 0 1)
54.9°, I 136, (2 2 2)
67.4°, I 134, (3 1 4)
70.4°, I 100, (2 3 1)

Record 8
Calculated powder diffraction line list
Compound: Tm6Ga17Pd5
Radiation: CuKα
Structure: a cell relaxed with GGA-PBE
No peak broadening, texture or thermal motion is included.

Structure:
abc: 15.749 4.261 15.670
angles: 90.00 104.46 90.00
Space group C2/m (No. 12)
Inequivalent atoms, fractional coordinates:
Tm 0.096 0.000 0.404 (multiplicity 4)
Tm 0.100 0.500 0.900 (multiplicity 4)
Tm 0.249 0.500 0.748 (multiplicity 4)
Ga 0.000 0.000 0.000 (multiplicity 2)
Ga 0.040 0.000 0.179 (multiplicity 4)
Ga 0.042 0.500 0.674 (multiplicity 4)
Ga 0.105 0.500 0.262 (multiplicity 4)
Ga 0.106 0.000 0.764 (multiplicity 4)
Ga 0.174 0.500 0.542 (multiplicity 4)
Ga 0.179 0.000 0.040 (multiplicity 4)
Ga 0.235 0.500 0.396 (multiplicity 4)
Ga 0.240 0.000 0.894 (multiplicity 4)
Pd 0.000 0.500 0.500 (multiplicity 2)
Pd 0.090 0.500 0.090 (multiplicity 4)
Pd 0.101 0.000 0.601 (multiplicity 4)

Main lines, sorted by position (2θ from 10° to 80°):
30.1°, I 212, (3 1 -3)
35.0°, I 397, (3 1 3)
35.3°, I 206, (6 0 0)
35.5°, I 1000, (5 1 -1)
35.6°, I 794, (1 1 -5)
37.0°, I 308, (5 1 -3)
37.9°, I 195, (5 1 1)
38.0°, I 195, (1 1 5)
42.4°, I 588, (0 2 0)
43.7°, I 282, (6 0 -6)

Record 9
Calculated powder diffraction line list
Compound: UGaPd
Radiation: CuKα
Structure: a cell relaxed with GGA-PBE
No peak broadening, texture or thermal motion is included.

Structure:
abc: 6.9464 6.9464 4.2151
angles: 90.00 90.00 120.00
Space group P-62m (No. 189)
Inequivalent atoms, fractional coordinates:
U 0.0000 0.4270 0.0000 (multiplicity 3)
Ga 0.0000 0.7615 0.5000 (multiplicity 3)
Pd 0.0000 0.0000 0.0000 (multiplicity 1)
Pd 0.3333 0.6667 0.5000 (multiplicity 2)

Main lines, sorted by position (2θ from 10° to 80°):
29.7°, I 256, (2 0 0)
33.4°, I 752, (1 1 1)
36.7°, I 1000, (2 0 1)
39.6°, I 320, (2 1 0)
42.9°, I 259, (0 0 2)
45.3°, I 215, (3 0 0)
55.0°, I 171, (3 1 0)
59.6°, I 279, (3 1 1)
59.8°, I 193, (2 1 2)
72.0°, I 191, (3 2 1)

Record 10
Calculated powder diffraction line list
Compound: UGaPd2
Radiation: CuKα
Structure: a cell relaxed with GGA-PBE
No peak broadening, texture or thermal motion is included.

Structure:
abc: 7.592 6.959 5.705
angles: 90.00 90.00 90.00
Space group Pnma (No. 62)
Inequivalent atoms, fractional coordinates:
U 0.040 0.250 0.152 (multiplicity 4)
Ga 0.112 0.750 0.341 (multiplicity 4)
Pd 0.181 0.048 0.586 (multiplicity 8)

Main lines, sorted by position (2θ from 10° to 80°):
20.1°, I 203, (0 1 1)
31.1°, I 558, (2 1 1)
32.4°, I 430, (1 2 1)
33.6°, I 256, (1 0 2)
35.0°, I 717, (2 2 0)
36.0°, I 1000, (1 1 2)
38.5°, I 512, (2 2 1)
38.9°, I 439, (3 0 1)
43.8°, I 267, (1 3 1)
76.1°, I 220, (5 2 2)

Record 11
Calculated powder diffraction line list
Compound: UGa3Pd2
Radiation: CuKα
Structure: a cell relaxed with GGA-PBE
No peak broadening, texture or thermal motion is included.

Structure:
abc: 5.3355 5.3355 4.3077
angles: 90.00 90.00 120.00
Space group P6/mmm (No. 191)
Inequivalent atoms, fractional coordinates:
U 0.0000 0.0000 0.0000 (multiplicity 1)
Ga 0.0000 0.5000 0.5000 (multiplicity 3)
Pd 0.3333 0.6667 0.0000 (multiplicity 2)

Main lines, sorted by position (2θ from 10° to 80°):
20.6°, I 164, (0 0 1)
28.3°, I 334, (1 0 1)
33.6°, I 405, (1 1 0)
39.0°, I 228, (2 0 0)
39.7°, I 1000, (1 1 1)
41.9°, I 236, (0 0 2)
54.8°, I 204, (1 1 2)
64.2°, I 244, (3 0 1)
70.6°, I 150, (2 2 0)
75.1°, I 156, (1 1 3)

Record 12
Calculated powder diffraction line list
Compound: YGa2Pd
Radiation: CuKα
Structure: a cell relaxed with GGA-PBE
No peak broadening, texture or thermal motion is included.

Structure:
abc: 4.443 10.207 6.619
angles: 90.00 90.00 90.00
Space group Cmcm (No. 63)
Inequivalent atoms, fractional coordinates:
Y 0.000 0.088 0.250 (multiplicity 4)
Ga 0.000 0.372 0.053 (multiplicity 8)
Pd 0.000 0.200 0.750 (multiplicity 4)

Main lines, sorted by position (2θ from 10° to 80°):
34.9°, I 1000, (1 1 2)
35.2°, I 187, (0 4 0)
35.9°, I 893, (1 3 1)
37.8°, I 358, (0 4 1)
40.6°, I 542, (2 0 0)
43.2°, I 496, (1 3 2)
46.8°, I 253, (1 1 3)
56.7°, I 214, (2 4 1)
62.0°, I 145, (2 2 3)
67.6°, I 144, (1 7 0)